Structure and calculated powder X-ray diffraction pattern of Mo2OsCl (the GGA-PBE geometry in Alexandria; copper Kα).

Largest 10 diffraction maxima, low angle first, 2θ from 10° to 80°:
2theta, Rel. int., (hkl)
16.76, 35, 0 0 1
21.41, 26, 0 1 0
33.90, 14, 0 0 2
39.38, 100, 1 1 -1
40.44, 72, 0 1 2
40.71, 20, 1 0 1
40.89, 19, 1 0 -2
43.61, 32, 0 2 0
61.18, 12, 1 2 1
77.23, 14, 1 3 -1

Cell and atoms:
a b c (Å): 2.8396 4.1509 5.4704
angles (deg): 90.00 104.80 90.00
Space group Pm (No. 6)
Inequivalent atoms, fractional coordinates:
Mo  0.0000  0.0000  0.0000 (multiplicity 1)
Mo  0.3333  0.5000  0.6866 (multiplicity 1)
Os  0.5952  0.5000  0.1892 (multiplicity 1)
Cl  0.2166  0.0000  0.4580 (multiplicity 1)

=====

Structure and calculated powder X-ray diffraction pattern of MoOsCl3 (the GGA-PBE geometry in Alexandria; copper Kα).

Largest 10 diffraction maxima, low angle first, 2θ from 10° to 80°:
2theta, Rel. int., (hkl)
25.10, 100, 1 1 0
30.86, 25, 1 1 1
35.79, 50, 2 0 0
44.21, 45, 2 1 1
51.51, 34, 2 2 0
58.13, 20, 3 1 0
61.27, 10, 3 1 1
64.31, 11, 2 2 2
70.18, 23, 3 2 1
75.84, 5, 4 0 0

Cell and atoms:
a b c (Å): 5.0180 5.0180 5.0180
angles (deg): 90.00 90.00 90.00
Space group Pm-3m (No. 221)
Inequivalent atoms, fractional coordinates:
Mo  0.0000  0.0000  0.0000 (multiplicity 1)
Os  0.5000  0.5000  0.5000 (multiplicity 1)
Cl  0.0000  0.0000  0.5000 (multiplicity 3)

=====

Structure and calculated powder X-ray diffraction pattern of Mo4PCl (the GGA-PBE geometry in Alexandria; copper Kα).

Largest 10 diffraction maxima, low angle first, 2θ from 10° to 80°:
2theta, Rel. int., (hkl)
20.68, 71, 1 1 1
34.09, 6, 2 2 0
40.21, 100, 3 1 1
42.08, 77, 2 2 2
48.98, 25, 4 0 0
53.71, 16, 3 3 1
61.02, 2, 4 2 2
65.16, 30, 3 3 3
71.78, 30, 4 4 0
75.63, 12, 5 3 1

Cell and atoms:
a b c (Å): 7.4388 7.4388 7.4388
angles (deg): 90.00 90.00 90.00
Space group F-43m (No. 216)
Inequivalent atoms, fractional coordinates:
Mo  0.1229  0.1229  0.3771 (multiplicity 16)
P  0.0000  0.0000  0.0000 (multiplicity 4)
Cl  0.2500  0.2500  0.7500 (multiplicity 4)

=====

Structure and calculated powder X-ray diffraction pattern of SnMoPCl2 (the GGA-PBE geometry in Alexandria; copper Kα).

Largest 10 diffraction maxima, low angle first, 2θ from 10° to 80°:
2theta, Rel. int., (hkl)
25.86, 100, 1 0 1
31.81, 19, 1 1 1
36.90, 60, 2 0 0
45.61, 45, 2 1 1
53.17, 40, 2 2 0
60.02, 13, 3 0 1
60.12, 7, 1 0 3
63.31, 7, 3 1 1
66.48, 14, 2 2 2
72.61, 24, 3 2 1

Cell and atoms:
a b c (Å): 4.8751 4.8751 4.8658
angles (deg): 90.00 90.00 90.00
Space group P4/mmm (No. 123)
Inequivalent atoms, fractional coordinates:
Sn  0.0000  0.0000  0.0000 (multiplicity 1)
Mo  0.5000  0.5000  0.5000 (multiplicity 1)
P  0.5000  0.5000  0.0000 (multiplicity 1)
Cl  0.0000  0.5000  0.5000 (multiplicity 2)